1.
This entry pairs a crystal structure of ErMn4Al8 with its simulated powder diffraction line list. Radiation: Cu Kα, 1.54184 Å. Structure: a structure optimized by DFT (GGA-PBE).
Lines closer than 0.1° are merged.

The 10 most intense peaks (2θ from 10° to 90°), sorted by position:
14.34°, I 57
20.03°, I 56
28.69°, I 69
28.91°, I 40
32.41°, I 33
35.42°, I 50
40.70°, I 100
41.18°, I 80
41.34°, I 70
59.41°, I 37

Structure:
Lattice parameters (Å, degrees): 6.692 6.692 6.692 98.50 98.50 134.78
Fractional coordinates of all 13 atoms:
Er 0.000 0.000 0.000
Mn 0.000 0.000 0.500
Mn 0.000 0.500 0.000
Mn 0.500 0.000 0.000
Mn 0.500 0.500 0.500
Al 0.000 0.336 0.336
Al 0.000 0.664 0.664
Al 0.276 0.500 0.776
Al 0.336 0.000 0.336
Al 0.500 0.276 0.776
Al 0.500 0.724 0.224
Al 0.664 0.000 0.664
Al 0.724 0.500 0.224


2.
This entry pairs a crystal structure of LiBeB with its simulated powder diffraction line list. Radiation: Cu Kα, 1.54184 Å. Structure: a structure optimized by DFT (GGA-PBE).
Lines closer than 0.1° are merged.

The 10 most intense peaks (2θ from 10° to 90°), sorted by position:
19.66°, I 13
31.12°, I 7
31.81°, I 3
45.87°, I 1
52.08°, I 26
52.36°, I 100
53.88°, I 25
64.77°, I 2
76.20°, I 7
78.22°, I 15

Structure:
Lattice parameters (Å, degrees): 6.074 6.074 6.074 147.46 59.70 131.42
Fractional coordinates of all 12 atoms:
Li 0.000 0.000 0.000
Li 0.245 0.745 0.500
Li 0.591 0.744 0.847
Li 0.897 0.744 0.153
Be 0.189 0.512 0.677
Be 0.308 0.982 0.327
Be 0.655 0.982 0.673
Be 0.836 0.512 0.323
B 0.102 0.268 0.834
B 0.434 0.268 0.166
B 0.484 0.484 0.000
B 0.700 0.200 0.500


3.
This entry pairs a crystal structure of TmZnPd with its simulated powder diffraction line list. Radiation: Cu Kα, 1.54184 Å. Structure: a structure optimized by DFT (GGA-PBE).
Lines closer than 0.1° are merged.

The 10 most intense peaks (2θ from 10° to 90°), sorted by position:
33.66°, I 59
33.82°, I 45
35.18°, I 35
35.59°, I 100
39.81°, I 40
41.89°, I 40
44.49°, I 37
44.97°, I 38
58.35°, I 17
65.11°, I 23

Structure:
Lattice parameters (Å, degrees): 7.036 4.032 8.210 90.00 90.00 90.00
Fractional coordinates of all 12 atoms:
Tm 0.051 0.250 0.187
Tm 0.449 0.750 0.687
Tm 0.551 0.250 0.313
Tm 0.949 0.750 0.813
Zn 0.130 0.250 0.564
Zn 0.370 0.750 0.064
Zn 0.630 0.250 0.936
Zn 0.870 0.750 0.436
Pd 0.245 0.250 0.877
Pd 0.255 0.750 0.377
Pd 0.745 0.250 0.623
Pd 0.755 0.750 0.123


4.
This entry pairs a crystal structure of K2SnH12N6 with its simulated powder diffraction line list. Radiation: Cu Kα, 1.54184 Å. Structure: a structure optimized by DFT (GGA-PBE).
Lines closer than 0.1° are merged.

The 10 most intense peaks (2θ from 10° to 90°), sorted by position:
13.20°, I 10
16.26°, I 100
17.97°, I 18
23.66°, I 13
27.22°, I 57
31.91°, I 12
38.45°, I 38
38.88°, I 15
42.46°, I 12
48.16°, I 28

Structure:
Lattice parameters (Å, degrees): 7.696 7.696 7.696 50.30 50.30 50.30
Fractional coordinates of all 21 atoms:
K 0.180 0.180 0.180
K 0.820 0.820 0.820
Sn 0.000 0.000 0.000
H 0.009 0.329 0.543
H 0.258 0.685 0.283
H 0.283 0.258 0.685
H 0.315 0.717 0.742
H 0.329 0.543 0.009
H 0.457 0.991 0.671
H 0.543 0.009 0.329
H 0.671 0.457 0.991
H 0.685 0.283 0.258
H 0.717 0.742 0.315
H 0.742 0.315 0.717
H 0.991 0.671 0.457
N 0.074 0.795 0.334
N 0.205 0.666 0.926
N 0.334 0.074 0.795
N 0.666 0.926 0.205
N 0.795 0.334 0.074
N 0.926 0.205 0.666


5.
This entry pairs a crystal structure of U with its simulated powder diffraction line list. Radiation: Cu Kα, 1.54184 Å. Structure: a structure optimized by DFT (GGA-PBE).
Lines closer than 0.1° are merged.

The 10 most intense peaks (2θ from 10° to 90°), sorted by position:
30.46°, I 68
35.47°, I 53
36.22°, I 100
47.44°, I 41
48.03°, I 79
64.18°, I 20
72.69°, I 24
74.06°, I 15
75.25°, I 14
84.89°, I 17

Structure:
Lattice parameters (Å, degrees): 22.762 5.869 5.061 90.00 90.00 90.00
Fractional coordinates of all 32 atoms:
U 0.000 0.216 0.000
U 0.000 0.784 0.000
U 0.061 0.283 0.496
U 0.061 0.717 0.496
U 0.124 0.223 0.992
U 0.124 0.777 0.992
U 0.188 0.223 0.489
U 0.188 0.777 0.489
U 0.250 0.282 0.989
U 0.250 0.718 0.989
U 0.312 0.223 0.489
U 0.312 0.777 0.489
U 0.376 0.223 0.992
U 0.376 0.777 0.992
U 0.439 0.283 0.496
U 0.439 0.717 0.496
U 0.500 0.216 0.000
U 0.500 0.784 0.000
U 0.561 0.283 0.504
U 0.561 0.717 0.504
U 0.624 0.223 0.008
U 0.624 0.777 0.008
U 0.688 0.223 0.511
U 0.688 0.777 0.511
U 0.750 0.282 0.011
U 0.750 0.718 0.011
U 0.812 0.223 0.511
U 0.812 0.777 0.511
U 0.876 0.223 0.008
U 0.876 0.777 0.008
U 0.939 0.283 0.504
U 0.939 0.717 0.504